This entry pairs a crystal structure of LiAlGa4 with its simulated powder diffraction line list. Radiation: Cu Kα (weighted mean of Kα1 and Kα2). Structure: the GGA-PBE geometry in Alexandria.

Main lines, low angle first (2θ from 5° to 70°):
(hkl), 2θ (°), I (rel.)
1 1 0, 21.85, 45
0 2 0, 24.47, 50
0 0 2, 31.38, 74
2 0 0, 36.64, 74
0 2 2, 40.19, 53
1 3 0, 41.53, 100

Structural model:
```
12
Lattice="5.162 0.000 0.000 0.000 7.277 0.000 -1.869 0.000 5.702" Properties=species:S:1:pos:R:3 pbc="T T T"
Li 0.000 0.000 0.000
Li 2.581 3.638 0.000
Al -0.934 0.000 2.851
Al 1.647 3.638 2.851
Ga -0.377 2.326 1.384
Ga -0.377 4.951 1.384
Ga 1.090 1.313 4.318
Ga 1.090 5.964 4.318
Ga 2.204 1.313 1.384
Ga 2.204 5.964 1.384
Ga 3.671 2.326 4.318
Ga 3.671 4.951 4.318
```